Entry 1:
The following is a computed X-ray diffraction stick pattern of SrAg. It was derived from a cell relaxed with GGA-PBE, using copper Kα.
Lines closer than 0.1° are merged.

Peak list (10 most intense, 10 to 90 degrees two-theta, sorted by position)
17.48 deg, intensity 154
28.11 deg, intensity 232
28.25 deg, intensity 488
29.90 deg, intensity 338
31.58 deg, intensity 368
35.25 deg, intensity 1000
35.59 deg, intensity 221
36.96 deg, intensity 354
48.24 deg, intensity 174
65.50 deg, intensity 142

Cell and atoms:
a = 16.6171 Å, b = 4.8645 Å, c = 6.4057 Å
α = 90.00°, β = 90.00°, γ = 90.00°
Space group Pnma (No. 62)
Inequivalent atoms, fractional coordinates:
Sr 0.0348 0.2500 0.2459 x4
Sr 0.2150 0.7500 0.5125 x4
Ag 0.1076 0.2500 0.7564 x4
Ag 0.1429 0.7500 0.0033 x4

=====

Entry 2:
The following is a computed X-ray diffraction stick pattern of ZrCu2O12F8. It was derived from a cell relaxed with GGA-PBE, using copper Kα.
Lines closer than 0.1° are merged.

Peak list (10 most intense, 10 to 90 degrees two-theta, sorted by position)
19.95 deg, intensity 563
20.57 deg, intensity 482
20.75 deg, intensity 1000
27.30 deg, intensity 488
28.81 deg, intensity 506
30.51 deg, intensity 171
42.78 deg, intensity 299
43.77 deg, intensity 176
45.88 deg, intensity 163
59.65 deg, intensity 200

Cell and atoms:
a = 14.9024 Å, b = 8.6348 Å, c = 10.7838 Å
α = 90.00°, β = 124.38°, γ = 90.00°
Space group C2/c (No. 15)
Inequivalent atoms, fractional coordinates:
Zr 0.0000 0.2476 0.2500 x4
Cu 0.1527 0.2570 0.7429 x8
O 0.0194 0.1607 0.6442 x8
O 0.0720 0.4117 0.6117 x8
O 0.1118 0.3249 0.9015 x8
O 0.2124 0.1029 0.6205 x8
O 0.2188 0.1384 0.1427 x8
O 0.2294 0.0939 0.8624 x8
F 0.0080 0.1330 0.4271 x8
F 0.0928 0.4126 0.4190 x8
F 0.1200 0.3612 0.2113 x8
F 0.1446 0.1121 0.3636 x8

=====

Entry 3:
The following is a computed X-ray diffraction stick pattern of MoWSeS3. It was derived from a cell relaxed with GGA-PBE, using copper Kα.
Lines closer than 0.1° are merged.

Peak list (10 most intense, 10 to 90 degrees two-theta, sorted by position)
12.16 deg, intensity 1000
14.60 deg, intensity 231
32.10 deg, intensity 285
32.94 deg, intensity 117
34.42 deg, intensity 135
37.82 deg, intensity 545
39.23 deg, intensity 105
45.92 deg, intensity 324
47.82 deg, intensity 127
57.19 deg, intensity 194

Cell and atoms:
a = 3.2222 Å, b = 3.2222 Å, c = 36.3909 Å
α = 90.00°, β = 90.00°, γ = 120.00°
Space group P3m1 (No. 156)
Inequivalent atoms, fractional coordinates:
Mo 0.0000 0.0000 0.0000 x1
Mo 0.3333 0.6667 0.1879 x1
W 0.0000 0.0000 0.3757 x1
W 0.3333 0.6667 0.5636 x1
Se 0.3333 0.6667 0.3285 x1
Se 0.3333 0.6667 0.4230 x1
S 0.0000 0.0000 0.1451 x1
S 0.0000 0.0000 0.2306 x1
S 0.0000 0.0000 0.5207 x1
S 0.0000 0.0000 0.6065 x1
S 0.3333 0.6667 0.0428 x1
S 0.3333 0.6667 0.9572 x1

=====

Entry 4:
The following is a computed X-ray diffraction stick pattern of Cd2TeSe. It was derived from a cell relaxed with GGA-PBE, using copper Kα.
Lines closer than 0.1° are merged.

Peak list (10 most intense, 10 to 90 degrees two-theta, sorted by position)
24.02 deg, intensity 1000
39.72 deg, intensity 777
46.96 deg, intensity 473
57.44 deg, intensity 126
63.12 deg, intensity 144
63.24 deg, intensity 43
72.06 deg, intensity 191
72.22 deg, intensity 56
77.21 deg, intensity 104
85.52 deg, intensity 42

Cell and atoms:
a = 4.5419 Å, b = 4.5419 Å, c = 22.1935 Å
α = 90.00°, β = 90.00°, γ = 120.00°
Space group R3m (No. 160, hexagonal axes)
Inequivalent atoms, fractional coordinates:
Cd 0.0000 0.0000 0.0000 x3
Cd 0.0000 0.0000 0.4901 x3
Te 0.0000 0.0000 0.6192 x3
Se 0.0000 0.0000 0.1209 x3

=====

Entry 5:
The following is a computed X-ray diffraction stick pattern of Ti3B4Mo3. It was derived from a cell relaxed with GGA-PBE, using copper Kα.
Lines closer than 0.1° are merged.

Peak list (10 most intense, 10 to 90 degrees two-theta, sorted by position)
28.17 deg, intensity 334
33.25 deg, intensity 423
33.49 deg, intensity 547
35.29 deg, intensity 281
41.44 deg, intensity 1000
44.12 deg, intensity 520
44.31 deg, intensity 650
47.78 deg, intensity 230
48.05 deg, intensity 199
58.25 deg, intensity 190

Cell and atoms:
a = 3.1681 Å, b = 8.4540 Å, c = 8.5287 Å
α = 90.00°, β = 90.00°, γ = 90.00°
Space group Amm2 (No. 38)
Inequivalent atoms, fractional coordinates:
Ti 0.0000 0.0000 0.0000 x2
Ti 0.5000 0.2504 0.4246 x4
B 0.5000 0.0000 0.5670 x2
B 0.5000 0.0000 0.7832 x2
B 0.5000 0.1078 0.1755 x4
Mo 0.0000 0.0000 0.3541 x2
Mo 0.0000 0.1771 0.6743 x4

=====

Entry 6:
The following is a computed X-ray diffraction stick pattern of Hf5Ir3. It was derived from a cell relaxed with GGA-PBE, using copper Kα.
Lines closer than 0.1° are merged.

Peak list (10 most intense, 10 to 90 degrees two-theta, sorted by position)
32.40 deg, intensity 187
34.36 deg, intensity 287
38.13 deg, intensity 1000
39.14 deg, intensity 369
39.68 deg, intensity 668
50.43 deg, intensity 149
56.96 deg, intensity 136
61.60 deg, intensity 321
67.84 deg, intensity 142
77.22 deg, intensity 180

Cell and atoms:
a = 7.9734 Å, b = 7.9734 Å, c = 5.5273 Å
α = 90.00°, β = 90.00°, γ = 120.00°
Space group P6_3/mcm (No. 193)
Inequivalent atoms, fractional coordinates:
Hf 0.0000 0.2404 0.2500 x6
Hf 0.3333 0.6667 0.0000 x4
Ir 0.0000 0.3991 0.7500 x6

=====

Entry 7:
The following is a computed X-ray diffraction stick pattern of TiCu3O4. It was derived from a cell relaxed with GGA-PBE, using copper Kα.
Lines closer than 0.1° are merged.

Peak list (10 most intense, 10 to 90 degrees two-theta, sorted by position)
14.98 deg, intensity 365
18.46 deg, intensity 447
30.01 deg, intensity 918
31.41 deg, intensity 346
31.51 deg, intensity 781
32.46 deg, intensity 738
37.35 deg, intensity 417
40.00 deg, intensity 1000
41.36 deg, intensity 465
61.66 deg, intensity 352

Cell and atoms:
a = 11.8091 Å, b = 2.9821 Å, c = 7.2644 Å
α = 90.00°, β = 125.51°, γ = 90.00°
Space group Cm (No. 8)
Inequivalent atoms, fractional coordinates:
Ti 0.0000 0.0000 0.0000 x2
Cu 0.1388 0.5000 0.7715 x2
Cu 0.2482 0.0000 0.5323 x2
Cu 0.3123 0.0000 0.1549 x2
O 0.0006 0.5000 0.8166 x2
O 0.1895 0.0000 0.2298 x2
O 0.2691 0.5000 0.7116 x2
O 0.4541 0.0000 0.1219 x2